Theoretical X-ray powder pattern
Compound: TeO2
Radiation: λ = 1.5418 Å (Cu Kα)
Structure: the GGA-PBE geometry in the Materials Project
Neutral-atom scattering factors, no anomalous dispersion.

The 12 most intense peaks (2θ = 10–80°), low angle first:
2θ (°)	d (Å)	I (rel.)
22.16	4.012	59
26.94	3.310	38
30.53	2.928	29
31.35	2.853	100
38.05	2.365	22
41.41	2.181	13
42.18	2.142	26
47.94	1.898	18
51.06	1.789	13
52.96	1.729	30
54.78	1.676	24
63.54	1.464	15

Crystal structure
```
data_TeO2
_chemical_formula_sum 'Te4 O8'
_space_group_name_H-M_alt 'P n m a'
_space_group_IT_number 62
_cell_length_a 5.856
_cell_length_b 3.578
_cell_length_c 8.024
_cell_angle_alpha 90.00
_cell_angle_beta 90.00
_cell_angle_gamma 90.00
loop_
_space_group_symop_operation_xyz
'x,y,z'
'-x,-y,-z'
'-x+1/2,-y,z+1/2'
'x+1/2,y,-z+1/2'
'x+1/2,-y+1/2,-z+1/2'
'-x+1/2,y+1/2,z+1/2'
'-x,y+1/2,-z'
'x,-y+1/2,z'
loop_
_atom_site_label
_atom_site_fract_x
_atom_site_fract_y
_atom_site_fract_z
Te1 0.239 0.250 0.061
O1 0.041 0.250 0.870
O2 0.132 0.250 0.461
```